No. 1
Starting from DFT lattice parameters and positions (PBE), the XRD peak list of Pm3Sb4Pd3 was calculated for CuKα.

Atomic structure:
Unit cell a=8.5899 b=8.5899 c=8.5899 alpha=109.47 beta=109.47 gamma=109.47
Positions (direct):
Pm: 0.1250 0.7500 0.8750
Pm: 0.2500 0.6250 0.3750
Pm: 0.3750 0.2500 0.6250
Pm: 0.6250 0.3750 0.2500
Pm: 0.7500 0.8750 0.1250
Pm: 0.8750 0.1250 0.7500
Sb: 0.0000 0.3398 0.5000
Sb: 0.0000 0.8398 0.5000
Sb: 0.1602 0.1602 0.1602
Sb: 0.3398 0.5000 0.0000
Sb: 0.5000 0.0000 0.3398
Sb: 0.5000 0.0000 0.8398
Sb: 0.6602 0.6602 0.6602
Sb: 0.8398 0.5000 0.0000
Pd: 0.1250 0.8750 0.2500
Pd: 0.2500 0.1250 0.8750
Pd: 0.3750 0.6250 0.7500
Pd: 0.6250 0.7500 0.3750
Pd: 0.7500 0.3750 0.6250
Pd: 0.8750 0.2500 0.1250

Largest 10 diffraction maxima, by angle, 5° ≤ 2θ ≤ 70°:
d/Å, 2theta, intensity
3.137, 28.46, 29.9
2.651, 33.81, 100.0
2.218, 40.68, 40.0
2.115, 42.76, 10.7
2.025, 44.76, 15.8
1.945, 46.70, 11.0
1.609, 57.26, 12.0
1.568, 58.89, 13.4
1.432, 65.16, 9.7
1.350, 69.66, 13.7

No. 2
Starting from DFT lattice parameters and positions (PBE), the XRD peak list of Pm4SbPd2 was calculated for CuKα.

Atomic structure:
Unit cell a=7.9928 b=7.9883 c=9.3900 alpha=54.04 beta=53.99 gamma=71.97
Positions (direct):
Pm: 0.0622 0.9378 0.1785
Pm: 0.0715 0.4285 0.1878
Pm: 0.1773 0.5330 0.7111
Pm: 0.4285 0.0715 0.3122
Pm: 0.5330 0.1773 0.5786
Pm: 0.5389 0.6714 0.0727
Pm: 0.6714 0.5389 0.7170
Pm: 0.9378 0.0622 0.8215
Sb: 0.6770 0.6770 0.3230
Sb: 0.9270 0.9270 0.5730
Pd: 0.1907 0.4138 0.4493
Pd: 0.3039 0.8007 0.8362
Pd: 0.4138 0.1907 0.9461
Pd: 0.8007 0.3039 0.0593

Largest 10 diffraction maxima, by angle, 5° ≤ 2θ ≤ 70°:
d/Å, 2theta, intensity
2.969, 30.10, 97.1
2.952, 30.27, 100.0
2.826, 31.66, 96.6
2.499, 35.93, 80.7
2.469, 36.39, 54.3
2.421, 37.13, 32.0
1.956, 46.42, 21.5
1.806, 50.54, 27.4
1.779, 51.35, 32.7
1.447, 64.40, 27.5

No. 3
Starting from DFT lattice parameters and positions (PBE), the XRD peak list of PmThSb2Pd2 was calculated for CuKα.

Atomic structure:
Unit cell a=4.5559 b=4.5559 c=8.1722 alpha=90.00 beta=90.00 gamma=120.00
Positions (direct):
Pm: 0.0000 0.0000 0.0000
Th: 0.0000 0.0000 0.5000
Sb: 0.3333 0.6667 0.7648
Sb: 0.6667 0.3333 0.2352
Pd: 0.3333 0.6667 0.2776
Pd: 0.6667 0.3333 0.7224

Largest 10 diffraction maxima, by angle, 5° ≤ 2θ ≤ 70°:
d/Å, 2theta, intensity
8.172, 10.83, 4.2
3.945, 22.54, 6.0
3.553, 25.06, 2.5
2.838, 31.52, 100.0
2.278, 39.56, 51.6
2.043, 44.34, 10.5
1.814, 50.29, 5.2
1.777, 51.44, 25.4
1.521, 60.91, 24.5
1.401, 66.78, 23.2

No. 4
Starting from DFT lattice parameters and positions (PBE), the XRD peak list of PmTl2Sb2Pd7 was calculated for CuKα.

Atomic structure:
Unit cell a=4.1072 b=4.1072 c=15.4372 alpha=94.36 beta=94.36 gamma=89.91
Positions (direct):
Pm: 0.0000 0.0000 0.0000
Tl: 0.1093 0.1093 0.4067
Tl: 0.8907 0.8907 0.5933
Sb: 0.4256 0.4256 0.7499
Sb: 0.5744 0.5744 0.2501
Pd: 0.0424 0.5412 0.1413
Pd: 0.3952 0.3952 0.5793
Pd: 0.4588 0.9576 0.8587
Pd: 0.5000 0.5000 0.0000
Pd: 0.5412 0.0424 0.1413
Pd: 0.6048 0.6048 0.4207
Pd: 0.9576 0.4588 0.8587

Largest 10 diffraction maxima, by angle, 5° ≤ 2θ ≤ 70°:
d/Å, 2theta, intensity
3.070, 29.09, 39.5
2.851, 31.37, 38.9
2.640, 33.95, 43.4
2.613, 34.31, 52.1
2.524, 35.57, 46.5
2.227, 40.51, 39.2
2.195, 41.12, 74.7
2.109, 42.89, 49.2
2.049, 44.20, 100.0
1.919, 47.38, 37.1

No. 5
Starting from DFT lattice parameters and positions (PBE), the XRD peak list of PmScPd3 was calculated for CuKα.

Atomic structure:
Unit cell a=9.7903 b=5.6134 c=7.2114 alpha=90.00 beta=94.02 gamma=90.00
Positions (direct):
Pm: 0.1253 0.1326 0.1961
Pm: 0.1253 0.3674 0.6961
Pm: 0.8747 0.6326 0.3039
Pm: 0.8747 0.8674 0.8039
Sc: 0.4400 0.6450 0.6752
Sc: 0.4400 0.8550 0.1752
Sc: 0.5600 0.1450 0.8248
Sc: 0.5600 0.3550 0.3248
Pd: 0.1111 0.6470 0.0465
Pd: 0.1111 0.8530 0.5465
Pd: 0.2826 0.5583 0.3649
Pd: 0.2826 0.9417 0.8649
Pd: 0.3690 0.1049 0.5106
Pd: 0.3690 0.3951 0.0106
Pd: 0.6310 0.6049 0.9894
Pd: 0.6310 0.8951 0.4894
Pd: 0.7174 0.0583 0.1351
Pd: 0.7174 0.4417 0.6351
Pd: 0.8889 0.1470 0.4535
Pd: 0.8889 0.3530 0.9535

Largest 10 diffraction maxima, by angle, 5° ≤ 2θ ≤ 70°:
d/Å, 2theta, intensity
3.211, 27.78, 40.7
2.615, 34.30, 32.3
2.542, 35.31, 31.8
2.508, 35.80, 97.3
2.502, 35.89, 62.5
2.442, 36.81, 33.2
2.330, 38.64, 100.0
2.282, 39.50, 36.0
2.205, 40.93, 64.9
2.100, 43.08, 32.4

No. 6
Starting from DFT lattice parameters and positions (PBE), the XRD peak list of PmSc4Pd4 was calculated for CuKα.

Atomic structure:
Unit cell a=8.7969 b=8.7969 c=5.4132 alpha=90.00 beta=90.00 gamma=90.00
Positions (direct):
Pm: 0.2500 0.2500 0.2500
Pm: 0.7500 0.7500 0.7500
Sc: 0.0913 0.6476 0.1619
Sc: 0.1476 0.9087 0.6619
Sc: 0.3524 0.5913 0.6619
Sc: 0.4087 0.8524 0.1619
Sc: 0.5913 0.1476 0.8381
Sc: 0.6476 0.4087 0.3381
Sc: 0.8524 0.0913 0.3381
Sc: 0.9087 0.3524 0.8381
Pd: 0.0486 0.6120 0.6659
Pd: 0.1120 0.9514 0.1659
Pd: 0.3880 0.5486 0.1659
Pd: 0.4514 0.8880 0.6659
Pd: 0.5486 0.1120 0.3341
Pd: 0.6120 0.4514 0.8341
Pd: 0.8880 0.0486 0.8341
Pd: 0.9514 0.3880 0.3341

Largest 10 diffraction maxima, by angle, 5° ≤ 2θ ≤ 70°:
d/Å, 2theta, intensity
4.610, 19.25, 56.0
3.182, 28.04, 39.6
2.782, 32.18, 100.0
2.707, 33.10, 19.1
2.587, 34.68, 28.5
2.224, 40.56, 30.1
1.987, 45.66, 58.6
1.967, 46.15, 26.5
1.940, 46.84, 27.1
1.812, 50.35, 16.9

Repeat the third record exactly.
Starting from DFT lattice parameters and positions (PBE), the XRD peak list of PmThSb2Pd2 was calculated for CuKα.

Atomic structure:
Unit cell a=4.5559 b=4.5559 c=8.1722 alpha=90.00 beta=90.00 gamma=120.00
Positions (direct):
Pm: 0.0000 0.0000 0.0000
Th: 0.0000 0.0000 0.5000
Sb: 0.3333 0.6667 0.7648
Sb: 0.6667 0.3333 0.2352
Pd: 0.3333 0.6667 0.2776
Pd: 0.6667 0.3333 0.7224

Largest 10 diffraction maxima, by angle, 5° ≤ 2θ ≤ 70°:
d/Å, 2theta, intensity
8.172, 10.83, 4.2
3.945, 22.54, 6.0
3.553, 25.06, 2.5
2.838, 31.52, 100.0
2.278, 39.56, 51.6
2.043, 44.34, 10.5
1.814, 50.29, 5.2
1.777, 51.44, 25.4
1.521, 60.91, 24.5
1.401, 66.78, 23.2

Q: Number 3 is which compound?
A: PmThSb2Pd2